Diffraction record for Hg2WN. The X-ray diffraction stick pattern is theoretical, not measured: it uses a PBE-relaxed structure and λ = 1.5418 Å (Cu Kα).
Intensities are scaled so that the largest is 100.

Structural model:
a = 6.928 Å, b = 6.928 Å, c = 6.928 Å
α = 94.48°, β = 94.48°, γ = 147.54°
Positions (direct):
Hg 0.005 0.125 0.380
Hg 0.375 0.995 0.120
Hg 0.745 0.625 0.620
Hg 0.875 0.255 0.880
W 0.250 0.750 0.500
W 0.500 0.500 0.000
N 0.000 0.000 0.000
N 0.750 0.250 0.500

The 8 most intense peaks (2θ = 10–90°), low angle first:
- 2θ = 26.8°, intensity 17
- 2θ = 30.0°, intensity 40
- 2θ = 31.4°, intensity 100
- 2θ = 36.9°, intensity 23
- 2θ = 41.7°, intensity 18
- 2θ = 43.0°, intensity 30
- 2θ = 49.0°, intensity 17
- 2θ = 54.2°, intensity 22